# 1
Simulated XRD peak list of NaH12AuC4S4O12 for Cu Kα, from DFT lattice parameters and positions (PBE).
No peak broadening, texture or thermal motion is included.

The 6 most intense peaks (2θ from 10° to 80°), sorted by position:
| two_theta | Rel. int. |
| --- | --- |
| 10.4 | 43 |
| 11.9 | 52 |
| 16.6 | 26 |
| 17.2 | 100 |
| 23.9 | 25 |
| 24.0 | 25 |

Structure:
```
data_NaH12AuC4S4O12
_chemical_formula_sum 'Na1 H12 Au1 C4 S4 O12'
_space_group_name_H-M_alt 'P 1'
_space_group_IT_number 1
_space_group_name_Hall 'P 1'
_cell_length_a 5.632
_cell_length_b 9.123
_cell_length_c 10.175
_cell_angle_alpha 71.48
_cell_angle_beta 74.65
_cell_angle_gamma 76.27
loop_
_atom_site_label
_atom_site_type_symbol
_atom_site_fract_x
_atom_site_fract_y
_atom_site_fract_z
Na1 Na 0.000 0.000 0.000
H1 H 0.259 0.565 0.291
H2 H 0.294 0.012 0.357
H3 H 0.337 0.192 0.375
H4 H 0.346 0.676 0.383
H5 H 0.427 0.157 0.202
H6 H 0.445 0.498 0.653
H7 H 0.555 0.502 0.347
H8 H 0.573 0.843 0.798
H9 H 0.654 0.324 0.617
H10 H 0.663 0.808 0.625
H11 H 0.706 0.988 0.643
H12 H 0.741 0.435 0.709
Au1 Au 0.000 0.500 0.000
C1 C 0.296 0.137 0.305
C2 C 0.415 0.603 0.310
C3 C 0.585 0.397 0.690
C4 C 0.704 0.863 0.695
S1 S 0.010 0.781 0.723
S2 S 0.445 0.278 0.854
S3 S 0.555 0.722 0.146
S4 S 0.990 0.219 0.277
O1 O 0.001 0.601 0.790
O2 O 0.063 0.848 0.822
O3 O 0.180 0.793 0.587
O4 O 0.236 0.226 0.835
O5 O 0.358 0.388 0.954
O6 O 0.359 0.840 0.088
O7 O 0.641 0.160 0.912
O8 O 0.642 0.612 0.046
O9 O 0.764 0.774 0.165
O10 O 0.820 0.207 0.413
O11 O 0.937 0.152 0.178
O12 O 0.999 0.399 0.210
```

---

# 2
Simulated XRD peak list of K5Au5C10I2N10O2 for Cu Kα, from DFT lattice parameters and positions (PBE).
No peak broadening, texture or thermal motion is included.

The 6 most intense peaks (2θ from 10° to 80°), sorted by position:
| two_theta | Rel. int. |
| --- | --- |
| 14.7 | 100 |
| 22.2 | 44 |
| 26.1 | 22 |
| 27.1 | 34 |
| 29.7 | 20 |
| 30.0 | 18 |

Structure:
```
data_K5Au5C10I2N10O2
_chemical_formula_sum 'K5 Au5 C10 I2 N10 O2'
_space_group_name_H-M_alt 'P 1'
_space_group_IT_number 1
_space_group_name_Hall 'P 1'
_cell_length_a 7.386
_cell_length_b 9.809
_cell_length_c 12.293
_cell_angle_alpha 98.48
_cell_angle_beta 94.78
_cell_angle_gamma 111.95
loop_
_atom_site_label
_atom_site_type_symbol
_atom_site_fract_x
_atom_site_fract_y
_atom_site_fract_z
K1 K 0.000 0.000 0.000
K2 K 0.193 0.547 0.045
K3 K 0.337 0.014 0.910
K4 K 0.663 0.986 0.090
K5 K 0.807 0.453 0.955
Au1 Au 0.000 0.000 0.500
Au2 Au 0.000 0.500 0.500
Au3 Au 0.249 0.262 0.480
Au4 Au 0.500 0.000 0.500
Au5 Au 0.751 0.738 0.520
C1 C 0.007 0.840 0.287
C2 C 0.085 0.649 0.707
C3 C 0.225 0.229 0.267
C4 C 0.279 0.302 0.694
C5 C 0.454 0.876 0.270
C6 C 0.546 0.124 0.730
C7 C 0.721 0.698 0.306
C8 C 0.775 0.771 0.733
C9 C 0.915 0.351 0.293
C10 C 0.993 0.160 0.713
I1 I 0.353 0.717 0.506
I2 I 0.647 0.283 0.494
N1 N 0.010 0.747 0.161
N2 N 0.137 0.738 0.829
N3 N 0.216 0.219 0.143
N4 N 0.295 0.327 0.821
N5 N 0.389 0.878 0.155
N6 N 0.611 0.122 0.845
N7 N 0.705 0.673 0.179
N8 N 0.784 0.781 0.857
N9 N 0.863 0.262 0.171
N10 N 0.990 0.253 0.839
O1 O 0.489 0.730 0.162
O2 O 0.511 0.270 0.838
```

---

# 3
Simulated XRD peak list of KAuC2 for Cu Kα, from DFT lattice parameters and positions (PBE).
No peak broadening, texture or thermal motion is included.

The 6 most intense peaks (2θ from 10° to 80°), sorted by position:
| two_theta | Rel. int. |
| --- | --- |
| 16.9 | 26 |
| 20.4 | 61 |
| 26.7 | 100 |
| 29.1 | 56 |
| 45.5 | 28 |
| 50.1 | 37 |

Structure:
```
data_KAuC2
_chemical_formula_sum 'K1 Au1 C2'
_space_group_name_H-M_alt 'P 1'
_space_group_IT_number 1
_space_group_name_Hall 'P 1'
_cell_length_a 4.343
_cell_length_b 4.343
_cell_length_c 5.241
_cell_angle_alpha 90.00
_cell_angle_beta 90.00
_cell_angle_gamma 90.00
loop_
_atom_site_label
_atom_site_type_symbol
_atom_site_fract_x
_atom_site_fract_y
_atom_site_fract_z
K1 K 0.000 0.000 0.000
Au1 Au 0.500 0.500 0.500
C1 C 0.500 0.500 0.119
C2 C 0.500 0.500 0.881
```